Calculated XRD peak list of PrSm2ErTl4 for Cu Kα, 1.54184 Å, from a cell relaxed with PBE.
No peak broadening, texture or thermal motion is included.

Principal peaks in the range 2θ from 5° to 70°, sorted by position:
Position (°2θ)	Rel. int.
23.04	2
32.81	100
40.51	1
47.08	18
53.11	1
58.42	10
58.62	29
68.67	6
68.89	6

Crystal structure
```
PrSm2ErTl4
1.0
2.7260 1.5739 8.9399
-2.7260 1.5739 8.9399
0.0000 -3.1477 8.9399
Pr Sm Er Tl
1 2 1 4
direct
0.0000 0.0000 0.0000 Pr
0.2490 0.2490 0.2490 Sm
0.7510 0.7510 0.7510 Sm
0.5000 0.5000 0.5000 Er
0.1267 0.1267 0.1267 Tl
0.3770 0.3770 0.3770 Tl
0.6230 0.6230 0.6230 Tl
0.8733 0.8733 0.8733 Tl
```